Structure and calculated X-ray diffraction stick pattern of La3Si2Pt9 (the PBE geometry in Alexandria; Cu Ka).
Intensities are scaled so that the largest is 100.

Crystal structure
a = 6.3321 Å, b = 6.3321 Å, c = 15.5279 Å
α = 90.00°, β = 90.00°, γ = 120.00°
Space group P6_3/mmc (No. 194)
Asymmetric unit:
La  0.0000  0.0000  0.2500 [2 per cell]
La  0.3333  0.6667  0.0743 [4 per cell]
Si  0.3333  0.6667  0.6568 [4 per cell]
Pt  0.0359  0.5180  0.2500 [6 per cell]
Pt  0.1488  0.2976  0.5768 [12 per cell]

Peak list (10 most intense, 5 to 70 degrees two-theta, low angle first)
2θ/deg  d/Å  I_rel  hkl
19.8  4.479  7  1 0 2
33.2  2.700  17  2 0 1
34.7  2.586  100  0 0 6
37.1  2.423  62  2 0 3
40.3  2.240  32  2 0 4
44.1  2.055  27  2 0 5
53.1  1.724  13  3 0 3
58.3  1.584  42  2 2 0
63.7  1.460  12  2 0 9
69.6  1.350  34  2 2 6

Structure and calculated X-ray diffraction stick pattern of CsTbCdF6 (the PBE geometry in Alexandria; Cu Ka).
Intensities are scaled so that the largest is 100.

Crystal structure
a = 8.0855 Å, b = 8.3915 Å, c = 11.7922 Å
α = 90.00°, β = 90.00°, γ = 90.00°
Space group Imma (No. 74)
Asymmetric unit:
Cs  0.0000  0.2500  0.0772 [4 per cell]
Tb  0.0000  0.0000  0.5000 [4 per cell]
Cd  0.2500  0.2500  0.7500 [4 per cell]
F  0.0000  0.2500  0.4382 [4 per cell]
F  0.0000  0.2500  0.8259 [4 per cell]
F  0.1994  0.0546  0.6193 [16 per cell]

Peak list (10 most intense, 5 to 70 degrees two-theta, low angle first)
2θ/deg  d/Å  I_rel  hkl
12.9  6.837  16  0 1 1
15.0  5.896  12  0 0 2
25.1  3.554  100  1 2 1
25.6  3.480  29  2 1 1
26.1  3.419  17  0 2 2
26.7  3.334  47  2 0 2
39.5  2.279  14  0 3 3
40.5  2.226  19  3 2 1
43.7  2.071  29  2 2 4
51.5  1.775  21  2 4 2

Structure and calculated X-ray diffraction stick pattern of Na2In4Au5 (the PBE geometry in Alexandria; Cu Ka).
Intensities are scaled so that the largest is 100.

Crystal structure
a = 5.7776 Å, b = 10.0781 Å, c = 18.2968 Å
α = 90.00°, β = 90.00°, γ = 90.00°
Space group Fmmm (No. 69)
Asymmetric unit:
Na  0.0000  0.0000  0.1721 [8 per cell]
In  0.0000  0.1592  0.3727 [16 per cell]
Au  0.0000  0.0000  0.5000 [4 per cell]
Au  0.2500  0.2500  0.0000 [8 per cell]
Au  0.2500  0.2500  0.2500 [8 per cell]

Peak list (10 most intense, 5 to 70 degrees two-theta, low angle first)
2θ/deg  d/Å  I_rel  hkl
17.6  5.039  82  0 2 0
18.4  4.834  68  1 1 1
19.4  4.574  29  0 0 4
34.2  2.622  42  1 3 3
35.8  2.506  38  2 2 0
36.8  2.442  58  2 0 4
39.4  2.287  41  0 0 8
40.9  2.207  61  0 4 4
41.1  2.198  100  2 2 4
64.1  1.452  22  2 6 0